The following is a computed PXRD pattern of Cs2UNi2Se4. It was derived from a GGA-PBE-relaxed structure, using Cu Ka.
Intensities are scaled so that the largest is 1000.

The 10 most intense peaks (5° ≤ 2θ ≤ 70°), in order of falling intensity:
- (1 1 -2), 2θ = 30.44°, rel. 1000
- (0 0 1), 2θ = 10.85°, rel. 612
- (3 1 1), 2θ = 33.26°, rel. 380
- (3 1 3), 2θ = 49.04°, rel. 374
- (4 0 1), 2θ = 30.64°, rel. 357
- (3 1 -1), 2θ = 29.10°, rel. 330
- (0 2 0), 2θ = 44.85°, rel. 303
- (0 0 2), 2θ = 21.80°, rel. 249
- (3 1 -2), 2θ = 32.98°, rel. 236
- (6 0 0), 2θ = 38.52°, rel. 224

```
data_Cs2UNi2Se4
_chemical_formula_sum 'Cs4 U2 Ni4 Se8'
_symmetry_space_group_name_H-M 'C 1 2/m 1'
_symmetry_Int_Tables_number 12
_symmetry_space_group_name_Hall '-C 2y'
_cell_length_a 14.705
_cell_length_b 4.042
_cell_length_c 8.550
_cell_angle_alpha 90.00
_cell_angle_beta 107.51
_cell_angle_gamma 90.00
loop_
_atom_site_label
_atom_site_fract_x
_atom_site_fract_y
_atom_site_fract_z
Cs1 0.140 0.000 0.064
U1 0.000 0.000 0.500
Ni1 0.178 0.500 0.487
Se1 0.022 0.500 0.282
Se2 0.196 0.000 0.647
```